Theoretical powder X-ray diffraction pattern of SmMgAu2 for Cu Kα, from DFT lattice parameters and positions (PBE).

Principal peaks in the range 5° ≤ 2θ ≤ 70°, sorted by position:
h k l  2θ/deg  intensity
1 1 1  21.82  11
2 0 0  25.25  18
2 2 0  36.01  100
3 1 1  42.50  6
2 2 2  44.49  6
4 0 0  51.84  18
3 3 1  56.90  3
4 2 0  58.52  8
4 2 2  64.74  37
5 1 1  69.20  2

Structure:
Lattice parameters (Å, degrees): 7.0541 7.0541 7.0541 90.00 90.00 90.00
Space group Fm-3m (No. 225)
Unique sites:
Sm 0.0000 0.0000 0.0000 x4
Mg 0.0000 0.0000 0.5000 x4
Au 0.2500 0.2500 0.2500 x8

=====

Theoretical powder X-ray diffraction pattern of TbMgAu for Cu Kα, from DFT lattice parameters and positions (PBE).

Principal peaks in the range 5° ≤ 2θ ≤ 70°, sorted by position:
h k l  2θ/deg  intensity
1 1 0  23.15  56
1 0 1  25.60  29
1 1 1  32.00  67
2 0 1  34.79  100
3 0 0  40.68  44
2 1 1  42.21  40
0 0 2  44.39  22
3 1 1  54.58  17
3 0 2  61.78  26
3 2 1  65.26  29

Structure:
Lattice parameters (Å, degrees): 7.6826 7.6826 4.0815 90.00 90.00 120.00
Space group P-62m (No. 189)
Unique sites:
Tb 0.0000 0.5908 0.0000 x3
Mg 0.0000 0.2483 0.5000 x3
Au 0.0000 0.0000 0.0000 x1
Au 0.3333 0.6667 0.5000 x2